# 1
This entry pairs a crystal structure of NdGeBO5 with its theoretical powder diffraction line list. Radiation: Cu Ka. Structure: a crystal structure in the Materials Project, relaxed with GGA-PBE.
No peak broadening, texture or thermal motion is included.

Main lines, low angle first (10 to 90 degrees two-theta):
- d = 6.122 Å, 14.47°, intensity 59
- d = 3.591 Å, 24.79°, intensity 52
- d = 3.503 Å, 25.42°, intensity 75
- d = 3.278 Å, 27.21°, intensity 100
- d = 3.187 Å, 27.99°, intensity 64
- d = 3.047 Å, 29.31°, intensity 51
- d = 2.935 Å, 30.46°, intensity 86
- d = 2.902 Å, 30.81°, intensity 75
- d = 1.794 Å, 50.91°, intensity 68
- d = 1.708 Å, 53.66°, intensity 53

Structure:
Lattice parameters (Å, degrees): 5.0100 7.6811 10.1434 90.00 91.94 90.00
Positions (direct):
Nd1 0.0067 0.1080 0.1793
Nd2 0.0067 0.3920 0.6793
Nd3 0.9933 0.6080 0.3207
Nd4 0.9933 0.8920 0.8207
Ge1 0.4711 0.7345 0.5758
Ge2 0.4711 0.7655 0.0758
Ge3 0.5289 0.2345 0.9242
Ge4 0.5289 0.2655 0.4242
B1 0.4550 0.0962 0.6693
B2 0.4550 0.4038 0.1693
B3 0.5450 0.5962 0.8307
B4 0.5450 0.9038 0.3307
O1 0.2222 0.5890 0.5276
O2 0.2222 0.9110 0.0276
O3 0.2662 0.6032 0.8105
O4 0.2662 0.8968 0.3105
O5 0.2975 0.1600 0.7956
O6 0.2975 0.3400 0.2956
O7 0.3289 0.5790 0.1500
O8 0.3289 0.9210 0.6500
O9 0.3389 0.2144 0.5640
O10 0.3389 0.2856 0.0640
O11 0.6611 0.7144 0.9360
O12 0.6611 0.7856 0.4360
O13 0.6711 0.0790 0.3500
O14 0.6711 0.4210 0.8500
O15 0.7025 0.6600 0.7044
O16 0.7025 0.8400 0.2044
O17 0.7338 0.1032 0.6895
O18 0.7338 0.3968 0.1895
O19 0.7778 0.0890 0.9724
O20 0.7778 0.4110 0.4724

***

# 2
This entry pairs a crystal structure of LuAgSn with its theoretical powder diffraction line list. Radiation: Cu Ka. Structure: a crystal structure in the Materials Project, relaxed with GGA-PBE.
No peak broadening, texture or thermal motion is included.

Main lines, low angle first (10 to 90 degrees two-theta):
- d = 3.172 Å, 28.14°, intensity 12
- d = 2.831 Å, 31.61°, intensity 65
- d = 2.585 Å, 34.70°, intensity 100
- d = 2.397 Å, 37.51°, intensity 35
- d = 2.231 Å, 40.43°, intensity 29
- d = 2.113 Å, 42.79°, intensity 28
- d = 1.637 Å, 56.20°, intensity 16
- d = 1.633 Å, 56.33°, intensity 21
- d = 1.384 Å, 67.72°, intensity 24
- d = 1.347 Å, 69.84°, intensity 13

Structure:
Lattice parameters (Å, degrees): 7.3243 7.3243 4.4623 90.00 90.00 120.00
Positions (direct):
Lu1 0.0000 0.4321 0.0000
Lu2 0.4321 0.0000 0.0000
Lu3 0.5679 0.5679 0.0000
Ag1 0.0000 0.7533 0.5000
Ag2 0.2467 0.2467 0.5000
Ag3 0.7533 0.0000 0.5000
Sn1 0.0000 0.0000 0.0000
Sn2 0.3333 0.6667 0.5000
Sn3 0.6667 0.3333 0.5000

***

# 3
This entry pairs a crystal structure of ErSnGe with its theoretical powder diffraction line list. Radiation: Cu Ka. Structure: a crystal structure in the Materials Project, relaxed with GGA-PBE.
No peak broadening, texture or thermal motion is included.

Main lines, low angle first (10 to 90 degrees two-theta):
- d = 3.659 Å, 24.33°, intensity 12
- d = 2.669 Å, 33.58°, intensity 22
- d = 2.588 Å, 34.66°, intensity 100
- d = 2.131 Å, 42.42°, intensity 15
- d = 2.057 Å, 44.02°, intensity 14
- d = 1.665 Å, 55.16°, intensity 11
- d = 1.629 Å, 56.49°, intensity 10
- d = 1.525 Å, 60.74°, intensity 11
- d = 1.302 Å, 72.61°, intensity 12
- d = 1.268 Å, 74.88°, intensity 12

Structure:
Lattice parameters (Å, degrees): 8.2844 8.2844 4.1138 90.00 90.00 150.19
Positions (direct):
Er1 0.0931 0.9069 0.7500
Er2 0.9069 0.0931 0.2500
Sn1 0.2531 0.7469 0.2500
Sn2 0.7469 0.2531 0.7500
Ge1 0.4439 0.5561 0.7500
Ge2 0.5561 0.4439 0.2500

***

- Number 3 is which compound?
  ErSnGe